Starting from DFT lattice parameters and positions (PBE+U), the powder diffractogram of Li2CoRh2O6 was computed for Cu Ka.

The 8 most intense peaks (10 to 80 degrees two-theta), low angle first:
2θ (°)  d (Å)  I (rel.)  hkl
18.1  4.889  100  0 0 1
34.7  2.587  15  2 0 -1
35.8  2.507  36  1 3 0
37.6  2.390  13  1 3 -1
42.7  2.116  18  2 0 -2
43.1  2.100  35  1 3 1
61.7  1.504  11  3 3 -1
64.4  1.447  10  0 6 0

Structural model:
```
data_Li2CoRh2O6
_chemical_formula_sum 'Li4 Co2 Rh4 O12'
_cell_length_a 5.2825
_cell_length_b 8.6858
_cell_length_c 5.1539
_cell_angle_alpha 90.00
_cell_angle_beta 108.45
_cell_angle_gamma 90.00
_space_group_name_H-M_alt 'C 1 2/m 1'
_space_group_IT_number 12
_space_group_name_Hall '-C 2y'
loop_
_atom_site_label
_atom_site_type_symbol
_atom_site_fract_x
_atom_site_fract_y
_atom_site_fract_z
_atom_site_occupancy
Li1 Li 0.0000 0.1658 0.0000 1
Co1 Co 0.0000 0.0000 0.5000 1
Rh1 Rh 0.0000 0.3420 0.5000 1
O1 O 0.2245 0.1660 0.7099 1
O2 O 0.2264 0.0000 0.2730 1
```